Ag2Au2S: theoretical powder XRD pattern (λ = 1.5418 Å (Cu Kα)), based on a crystal structure in Alexandria, relaxed with GGA-PBE.
Intensities are scaled so that the largest is 100.

```
data_Ag2Au2S
_chemical_formula_sum 'Ag4 Au4 S2'
_cell_length_a 6.785
_cell_length_b 6.785
_cell_length_c 4.176
_cell_angle_alpha 90.00
_cell_angle_beta 90.00
_cell_angle_gamma 90.00
_symmetry_space_group_name_H-M 'P 1'
_symmetry_Int_Tables_number 1
loop_
_symmetry_equiv_pos_as_xyz
'x,y,z'
loop_
_atom_site_label
_atom_site_type_symbol
_atom_site_fract_x
_atom_site_fract_y
_atom_site_fract_z
Ag1 Ag 0.154 0.346 0.000
Ag2 Ag 0.346 0.846 0.000
Ag3 Ag 0.654 0.154 0.000
Ag4 Ag 0.846 0.654 0.000
Au1 Au 0.145 0.645 0.500
Au2 Au 0.355 0.145 0.500
Au3 Au 0.645 0.855 0.500
Au4 Au 0.855 0.355 0.500
S1 S 0.000 0.000 0.000
S2 S 0.500 0.500 0.000
```

Largest 10 diffraction maxima, in order of rising 2θ, 10° ≤ 2θ ≤ 90°:
18.49 deg, intensity 20
36.61 deg, intensity 100
42.12 deg, intensity 21
43.33 deg, intensity 15
54.07 deg, intensity 8
57.64 deg, intensity 8
60.47 deg, intensity 7
62.02 deg, intensity 13
75.07 deg, intensity 12
79.46 deg, intensity 16

=====

Ag2Au3S3: theoretical powder XRD pattern (λ = 1.5418 Å (Cu Kα)), based on a crystal structure in Alexandria, relaxed with GGA-PBE.
Intensities are scaled so that the largest is 100.

```
data_Ag2Au3S3
_chemical_formula_sum 'Ag2 Au3 S3'
_cell_length_a 6.302
_cell_length_b 6.302
_cell_length_c 5.758
_cell_angle_alpha 91.09
_cell_angle_beta 91.09
_cell_angle_gamma 84.31
_symmetry_space_group_name_H-M 'P 1'
_symmetry_Int_Tables_number 1
loop_
_symmetry_equiv_pos_as_xyz
'x,y,z'
loop_
_atom_site_label
_atom_site_type_symbol
_atom_site_fract_x
_atom_site_fract_y
_atom_site_fract_z
Ag1 Ag 0.174 0.174 0.305
Ag2 Ag 0.826 0.826 0.695
Au1 Au 0.085 0.645 0.284
Au2 Au 0.355 0.915 0.716
Au3 Au 0.753 0.247 0.500
S1 S 0.025 0.451 0.613
S2 S 0.101 0.899 0.000
S3 S 0.549 0.975 0.387
```

Largest 10 diffraction maxima, in order of rising 2θ, 10° ≤ 2θ ≤ 90°:
14.13 deg, intensity 53
15.39 deg, intensity 75
21.00 deg, intensity 44
21.13 deg, intensity 96
30.60 deg, intensity 63
32.28 deg, intensity 100
34.05 deg, intensity 26
34.51 deg, intensity 34
34.77 deg, intensity 46
36.88 deg, intensity 32

=====

Ag6Au2Se3S: theoretical powder XRD pattern (λ = 1.5418 Å (Cu Kα)), based on a crystal structure in Alexandria, relaxed with GGA-PBE.
Intensities are scaled so that the largest is 100.

```
data_Ag6Au2Se3S
_chemical_formula_sum 'Ag12 Au4 Se6 S2'
_cell_length_a 8.686
_cell_length_b 8.686
_cell_length_c 10.046
_cell_angle_alpha 125.17
_cell_angle_beta 125.17
_cell_angle_gamma 70.56
_symmetry_space_group_name_H-M 'P 1'
_symmetry_Int_Tables_number 1
loop_
_symmetry_equiv_pos_as_xyz
'x,y,z'
loop_
_atom_site_label
_atom_site_type_symbol
_atom_site_fract_x
_atom_site_fract_y
_atom_site_fract_z
Ag1 Ag 0.000 0.000 0.000
Ag2 Ag 0.118 0.362 0.371
Ag3 Ag 0.130 0.379 0.882
Ag4 Ag 0.239 0.002 0.868
Ag5 Ag 0.255 0.745 0.500
Ag6 Ag 0.503 0.497 0.000
Ag7 Ag 0.505 0.252 0.626
Ag8 Ag 0.621 0.870 0.118
Ag9 Ag 0.638 0.882 0.629
Ag10 Ag 0.748 0.495 0.374
Ag11 Ag 0.763 0.237 0.500
Ag12 Ag 0.998 0.761 0.132
Au1 Au 0.377 0.374 0.253
Au2 Au 0.626 0.623 0.747
Au3 Au 0.627 0.122 0.002
Au4 Au 0.878 0.373 0.998
Se1 Se 0.335 0.623 0.745
Se2 Se 0.342 0.125 0.715
Se3 Se 0.375 0.085 0.249
Se4 Se 0.377 0.665 0.255
Se5 Se 0.875 0.658 0.285
Se6 Se 0.915 0.625 0.751
S1 S 0.876 0.103 0.723
S2 S 0.897 0.124 0.277
```

Largest 10 diffraction maxima, in order of rising 2θ, 10° ≤ 2θ ≤ 90°:
12.46 deg, intensity 61
30.85 deg, intensity 30
33.35 deg, intensity 100
33.42 deg, intensity 74
38.03 deg, intensity 23
40.12 deg, intensity 27
40.19 deg, intensity 28
44.13 deg, intensity 22
46.11 deg, intensity 22
49.76 deg, intensity 33

=====

AgSbAu: theoretical powder XRD pattern (λ = 1.5418 Å (Cu Kα)), based on a crystal structure in Alexandria, relaxed with GGA-PBE.
Intensities are scaled so that the largest is 100.

```
data_AgSbAu
_chemical_formula_sum 'Ag1 Sb1 Au1'
_cell_length_a 5.017
_cell_length_b 5.017
_cell_length_c 3.070
_cell_angle_alpha 90.00
_cell_angle_beta 90.00
_cell_angle_gamma 120.00
_symmetry_space_group_name_H-M 'P 1'
_symmetry_Int_Tables_number 1
loop_
_symmetry_equiv_pos_as_xyz
'x,y,z'
loop_
_atom_site_label
_atom_site_type_symbol
_atom_site_fract_x
_atom_site_fract_y
_atom_site_fract_z
Ag1 Ag 0.000 0.000 0.000
Sb1 Sb 0.667 0.333 0.000
Au1 Au 0.333 0.667 0.000
```

Largest 10 diffraction maxima, in order of rising 2θ, 10° ≤ 2θ ≤ 90°:
20.44 deg, intensity 12
29.09 deg, intensity 54
35.80 deg, intensity 100
46.77 deg, intensity 87
60.29 deg, intensity 7
64.33 deg, intensity 21
72.13 deg, intensity 48
75.86 deg, intensity 11
83.21 deg, intensity 17
86.85 deg, intensity 3

=====

Ag2SbAu3: theoretical powder XRD pattern (λ = 1.5418 Å (Cu Kα)), based on a crystal structure in Alexandria, relaxed with GGA-PBE.
Intensities are scaled so that the largest is 100.

```
data_Ag2SbAu3
_chemical_formula_sum 'Ag2 Sb1 Au3'
_cell_length_a 6.803
_cell_length_b 6.803
_cell_length_c 4.145
_cell_angle_alpha 90.00
_cell_angle_beta 90.00
_cell_angle_gamma 143.08
_symmetry_space_group_name_H-M 'P 1'
_symmetry_Int_Tables_number 1
loop_
_symmetry_equiv_pos_as_xyz
'x,y,z'
loop_
_atom_site_label
_atom_site_type_symbol
_atom_site_fract_x
_atom_site_fract_y
_atom_site_fract_z
Ag1 Ag 0.170 0.830 0.000
Ag2 Ag 0.830 0.170 0.000
Sb1 Sb 0.500 0.500 0.000
Au1 Au 0.000 0.000 0.500
Au2 Au 0.329 0.671 0.500
Au3 Au 0.671 0.329 0.500
```

Largest 10 diffraction maxima, in order of rising 2θ, 10° ≤ 2θ ≤ 90°:
21.44 deg, intensity 6
29.34 deg, intensity 6
36.62 deg, intensity 100
41.97 deg, intensity 34
43.67 deg, intensity 15
60.86 deg, intensity 11
62.18 deg, intensity 21
73.17 deg, intensity 26
75.57 deg, intensity 12
77.86 deg, intensity 11

=====

Ag6SbAu8: theoretical powder XRD pattern (λ = 1.5418 Å (Cu Kα)), based on a crystal structure in Alexandria, relaxed with GGA-PBE.
Intensities are scaled so that the largest is 100.

```
data_Ag6SbAu8
_chemical_formula_sum 'Ag6 Sb1 Au8'
_cell_length_a 7.069
_cell_length_b 7.069
_cell_length_c 7.069
_cell_angle_alpha 69.22
_cell_angle_beta 69.22
_cell_angle_gamma 69.22
_symmetry_space_group_name_H-M 'P 1'
_symmetry_Int_Tables_number 1
loop_
_symmetry_equiv_pos_as_xyz
'x,y,z'
loop_
_atom_site_label
_atom_site_type_symbol
_atom_site_fract_x
_atom_site_fract_y
_atom_site_fract_z
Ag1 Ag 0.088 0.653 0.848
Ag2 Ag 0.152 0.912 0.347
Ag3 Ag 0.347 0.152 0.912
Ag4 Ag 0.653 0.848 0.088
Ag5 Ag 0.848 0.088 0.653
Ag6 Ag 0.912 0.347 0.152
Sb1 Sb 0.500 0.500 0.500
Au1 Au 0.053 0.354 0.686
Au2 Au 0.282 0.282 0.282
Au3 Au 0.314 0.947 0.646
Au4 Au 0.354 0.686 0.053
Au5 Au 0.646 0.314 0.947
Au6 Au 0.686 0.053 0.354
Au7 Au 0.718 0.718 0.718
Au8 Au 0.947 0.646 0.314
```

Largest 10 diffraction maxima, in order of rising 2θ, 10° ≤ 2θ ≤ 90°:
16.61 deg, intensity 22
27.81 deg, intensity 37
34.16 deg, intensity 21
35.96 deg, intensity 41
38.85 deg, intensity 89
40.60 deg, intensity 100
41.08 deg, intensity 37
42.52 deg, intensity 63
63.76 deg, intensity 24
70.77 deg, intensity 22